[1]
Simulated XRD peak list
Compound: Sr4NbCoO8
Radiation: Cu Ka
Structure: a cell relaxed with GGA+U
Kinematic intensities with the Lorentz-polarization factor, no thermal factor.

Peak list (8 most intense, 2θ from 5° to 70°, most intense first)
2θ (°)	intensity
30.74	100
45.79	37
31.78	34
32.09	33
64.02	21
55.97	19
56.37	18
42.21	17

Cell and atoms:
Cell lengths 7.0128, 7.0128, 5.5782 Å; angles 90.00, 90.00, 132.65 degrees
Element x y z (fractional)
Sr 0.1450 0.8550 0.0000
Sr 0.3511 0.6489 0.5000
Sr 0.6489 0.3511 0.5000
Sr 0.8550 0.1450 0.0000
Nb 0.5000 0.5000 0.0000
Co 0.0000 0.0000 0.5000
O 0.1629 0.8371 0.5000
O 0.2501 0.2501 0.2508
O 0.2501 0.2501 0.7492
O 0.3399 0.6601 0.0000
O 0.6601 0.3399 0.0000
O 0.7499 0.7499 0.2508
O 0.7499 0.7499 0.7492
O 0.8371 0.1629 0.5000



[2]
Simulated XRD peak list
Compound: Sr2NbCoO6
Radiation: Cu Ka
Structure: a cell relaxed with GGA+U
Kinematic intensities with the Lorentz-polarization factor, no thermal factor.

Peak list (8 most intense, 2θ from 5° to 70°, most intense first)
2θ (°)	intensity
31.62	100
31.48	51
56.14	39
45.12	37
66.03	21
56.40	19
45.52	18
38.93	8

Cell and atoms:
Cell lengths 7.9703, 11.3624, 5.6854 Å; angles 90.00, 90.00, 90.00 degrees
Element x y z (fractional)
Sr 0.2493 0.1264 0.0000
Sr 0.2496 0.3770 0.4966
Sr 0.2504 0.6230 0.9966
Sr 0.2507 0.8736 0.5000
Sr 0.7493 0.8736 0.5000
Sr 0.7504 0.3770 0.4966
Sr 0.7496 0.6230 0.9966
Sr 0.7507 0.1264 0.0000
Nb 0.0000 0.1246 0.4985
Nb 0.0000 0.6264 0.4978
Nb 0.5000 0.3736 0.9978
Nb 0.5000 0.8754 0.9985
Co 0.0000 0.3767 0.9979
Co 0.0000 0.8743 0.9982
Co 0.5000 0.1257 0.4982
Co 0.5000 0.6233 0.4979
O 0.0000 0.0009 0.7430
O 0.0000 0.0030 0.2460
O 0.0000 0.2494 0.7422
O 0.0000 0.2506 0.2441
O 0.0000 0.4959 0.7591
O 0.0000 0.4986 0.2601
O 0.0000 0.7471 0.7549
O 0.0000 0.7495 0.2532
O 0.2446 0.8757 0.9965
O 0.2490 0.6249 0.5077
O 0.2510 0.3751 0.0077
O 0.2554 0.1243 0.4965
O 0.5000 0.2505 0.7532
O 0.5000 0.2529 0.2549
O 0.5000 0.5014 0.7601
O 0.5000 0.5041 0.2591
O 0.5000 0.7494 0.7441
O 0.5000 0.7506 0.2422
O 0.5000 0.9970 0.7460
O 0.5000 0.9991 0.2430
O 0.7446 0.1243 0.4965
O 0.7490 0.3751 0.0077
O 0.7510 0.6249 0.5077
O 0.7554 0.8757 0.9965



[3]
Simulated XRD peak list
Compound: Sr2NbCoO6
Radiation: Cu Ka
Structure: a cell relaxed with GGA+U
Kinematic intensities with the Lorentz-polarization factor, no thermal factor.

Peak list (8 most intense, 2θ from 5° to 70°, most intense first)
2θ (°)	intensity
31.64	100
31.52	51
56.20	39
45.17	37
66.07	21
56.42	19
45.52	18
65.80	11

Cell and atoms:
Cell lengths 9.8197, 9.8197, 9.7842 Å; angles 99.92, 99.92, 33.61 degrees
Element x y z (fractional)
Sr 0.0621 0.0621 0.1839
Sr 0.1862 0.1886 0.5621
Sr 0.3139 0.3132 0.9377
Sr 0.4408 0.4361 0.3094
Sr 0.5639 0.5592 0.6906
Sr 0.6868 0.6861 0.0623
Sr 0.8114 0.8138 0.4379
Sr 0.9379 0.9379 0.8161
Nb 0.0007 0.9993 0.5000
Nb 0.2510 0.2506 0.2507
Nb 0.4998 0.5002 0.0000
Nb 0.7494 0.7490 0.7493
Co 0.1254 0.1253 0.8767
Co 0.3755 0.3740 0.6266
Co 0.6260 0.6245 0.3734
Co 0.8747 0.8746 0.1233
O 0.0584 0.0706 0.6893
O 0.0661 0.5559 0.1880
O 0.0758 0.5539 0.6874
O 0.1771 0.6980 0.5616
O 0.1886 0.6869 0.0636
O 0.1901 0.1809 0.0581
O 0.3020 0.8229 0.4384
O 0.3131 0.8114 0.9364
O 0.3188 0.3032 0.4368
O 0.4384 0.4374 0.8131
O 0.4441 0.9339 0.8120
O 0.4461 0.9242 0.3126
O 0.5632 0.0556 0.1861
O 0.5626 0.5616 0.1869
O 0.5762 0.0529 0.6886
O 0.6764 0.1990 0.5624
O 0.6863 0.1889 0.0635
O 0.6968 0.6812 0.5632
O 0.8010 0.3236 0.4376
O 0.8111 0.3137 0.9365
O 0.8191 0.8099 0.9419
O 0.9294 0.9416 0.3107
O 0.9444 0.4368 0.8139
O 0.9471 0.4238 0.3114



[4]
Simulated XRD peak list
Compound: Nb2Zn2CoO8
Radiation: Cu Ka
Structure: a cell relaxed with GGA+U
Kinematic intensities with the Lorentz-polarization factor, no thermal factor.

Peak list (8 most intense, 2θ from 5° to 70°, most intense first)
2θ (°)	intensity
32.27	100
34.55	84
32.40	76
27.45	73
51.68	64
33.92	58
61.10	35
26.45	31

Cell and atoms:
Cell lengths 10.1390, 10.1390, 5.2852 Å; angles 90.29, 90.29, 34.20 degrees
Element x y z (fractional)
Nb 0.0496 0.7222 0.7337
Nb 0.2778 0.9504 0.7663
Nb 0.7222 0.0496 0.2337
Nb 0.9504 0.2778 0.2663
Zn 0.1264 0.4325 0.2369
Zn 0.4325 0.1264 0.7369
Zn 0.5675 0.8736 0.2631
Zn 0.8736 0.5675 0.7631
Co 0.3542 0.6458 0.2500
Co 0.6458 0.3542 0.7500
O 0.0492 0.8114 0.0740
O 0.0731 0.2847 0.5628
O 0.1598 0.4536 0.8645
O 0.1886 0.9508 0.4260
O 0.2847 0.0731 0.0628
O 0.3199 0.5661 0.5866
O 0.4339 0.6801 0.9134
O 0.4536 0.1598 0.3645
O 0.5464 0.8402 0.6355
O 0.5661 0.3199 0.0866
O 0.6801 0.4339 0.4134
O 0.7153 0.9269 0.9372
O 0.8114 0.0492 0.5740
O 0.8402 0.5464 0.1355
O 0.9269 0.7153 0.4372
O 0.9508 0.1886 0.9260



[5]
Simulated XRD peak list
Compound: Nd2CoNiO6
Radiation: Cu Ka
Structure: a cell relaxed with GGA+U
Kinematic intensities with the Lorentz-polarization factor, no thermal factor.

Peak list (8 most intense, 2θ from 5° to 70°, most intense first)
2θ (°)	intensity
32.70	100
33.00	25
46.52	23
31.85	21
58.81	16
47.32	15
53.07	14
48.08	14

Cell and atoms:
Cell lengths 5.4283, 5.6199, 9.3962 Å; angles 90.00, 125.13, 90.00 degrees
Element x y z (fractional)
Nd 0.2360 0.0554 0.2496
Nd 0.2360 0.4446 0.7496
Nd 0.7640 0.5554 0.2504
Nd 0.7640 0.9446 0.7504
Co 0.5000 0.0000 0.0000
Co 0.5000 0.5000 0.5000
Ni 0.0000 0.0000 0.5000
Ni 0.0000 0.5000 0.0000
O 0.1760 0.2000 0.9575
O 0.1760 0.3000 0.4575
O 0.2460 0.7079 0.9542
O 0.2460 0.7921 0.4542
O 0.3389 0.0204 0.7568
O 0.3389 0.4796 0.2568
O 0.6611 0.5204 0.7432
O 0.6611 0.9796 0.2432
O 0.7540 0.2079 0.5458
O 0.7540 0.2921 0.0458
O 0.8240 0.7000 0.5425
O 0.8240 0.8000 0.0425



[6]
Simulated XRD peak list
Compound: Nd2CoTe2S2O14
Radiation: Cu Ka
Structure: a cell relaxed with GGA+U
Kinematic intensities with the Lorentz-polarization factor, no thermal factor.

Peak list (8 most intense, 2θ from 5° to 70°, most intense first)
2θ (°)	intensity
24.49	100
23.97	88
34.49	69
13.04	61
29.26	60
36.53	55
24.08	48
32.41	40

Cell and atoms:
Cell lengths 5.4173, 8.0868, 8.3421 Å; angles 64.36, 72.74, 86.44 degrees
Element x y z (fractional)
Nd 0.0934 0.2509 0.0160
Nd 0.9066 0.7491 0.9840
Co 0.0000 0.0000 0.5000
Te 0.4783 0.7348 0.6555
Te 0.5217 0.2652 0.3445
S 0.2189 0.7526 0.2541
S 0.7811 0.2474 0.7459
O 0.0737 0.5973 0.2629
O 0.1194 0.7784 0.4260
O 0.1785 0.9200 0.0893
O 0.2483 0.9239 0.6614
O 0.2523 0.5686 0.8901
O 0.2809 0.1888 0.2593
O 0.4989 0.7210 0.2219
O 0.5011 0.2790 0.7781
O 0.7191 0.8112 0.7407
O 0.7477 0.4314 0.1099
O 0.7517 0.0761 0.3386
O 0.8215 0.0800 0.9107
O 0.8806 0.2216 0.5740
O 0.9263 0.4027 0.7371



[7]
Simulated XRD peak list
Compound: NdSmCo4O12
Radiation: Cu Ka
Structure: a cell relaxed with GGA+U
Kinematic intensities with the Lorentz-polarization factor, no thermal factor.

Peak list (8 most intense, 2θ from 5° to 70°, most intense first)
2θ (°)	intensity
20.52	100
33.75	75
33.95	37
40.00	36
48.78	30
60.63	28
39.64	18
53.16	16

Cell and atoms:
Cell lengths 5.2803, 5.2803, 7.5578 Å; angles 90.00, 90.00, 90.00 degrees
Element x y z (fractional)
Nd 0.0000 0.0000 0.0000
Sm 0.5000 0.5000 0.5000
Co 0.0000 0.5000 0.2507
Co 0.0000 0.5000 0.7493
Co 0.5000 0.0000 0.2507
Co 0.5000 0.0000 0.7493
O 0.0000 0.5000 0.0000
O 0.0000 0.5000 0.5000
O 0.2518 0.2518 0.2518
O 0.2518 0.2518 0.7482
O 0.2518 0.7482 0.2518
O 0.2518 0.7482 0.7482
O 0.5000 0.0000 0.0000
O 0.5000 0.0000 0.5000
O 0.7482 0.2518 0.2518
O 0.7482 0.2518 0.7482
O 0.7482 0.7482 0.2518
O 0.7482 0.7482 0.7482



[8]
Simulated XRD peak list
Compound: SrNdCo2O6
Radiation: Cu Ka
Structure: a cell relaxed with GGA+U
Kinematic intensities with the Lorentz-polarization factor, no thermal factor.

Peak list (8 most intense, 2θ from 5° to 70°, most intense first)
2θ (°)	intensity
32.98	100
47.08	26
58.90	23
32.61	19
69.18	18
58.43	17
47.59	12
40.77	8

Cell and atoms:
Cell lengths 5.4326, 5.4326, 5.4326 Å; angles 120.04, 90.59, 119.28 degrees
Element x y z (fractional)
Sr 0.0000 0.0000 0.0000
Nd 0.4898 0.9898 0.5000
Co 0.2475 0.4980 0.7494
Co 0.7486 0.4980 0.2506
O 0.0387 0.5155 0.0396
O 0.0387 0.9991 0.5233
O 0.4758 0.5155 0.4767
O 0.4758 0.9991 0.9604
O 0.5470 0.5470 0.0000
O 0.9299 0.4299 0.5000